For NdIn4Ni, a PBE-relaxed structure gives the theoretical X-ray diffraction stick pattern in this record (CuKα).
Lines closer than 0.1° are merged.

Structure:
abc: 4.475 16.894 7.253
angles: 90.00 90.00 90.00
Space group Cmcm (No. 63)
Asymmetric unit:
Nd1 0.000 0.117 0.250 (multiplicity 4)
In1 0.000 0.075 0.750 (multiplicity 4)
In2 0.000 0.312 0.047 (multiplicity 8)
In3 0.000 0.500 0.000 (multiplicity 4)
Ni1 0.000 0.226 0.750 (multiplicity 4)

Principal peaks in the range 2θ from 10° to 80°, low angle first:
2theta	d [Å]	I_rel	index
32.21	2.779	100.0	1 1 2
32.54	2.751	16.9	0 4 2
33.23	2.696	66.6	1 5 0
34.16	2.625	19.1	0 6 1
35.52	2.527	23.9	1 5 1
40.31	2.237	36.4	2 0 0
40.56	2.224	30.8	0 6 2
58.52	1.577	20.2	2 6 2